Starting from a crystal structure in Alexandria, relaxed with GGA+U, the powder diffractogram of Mn3OF5 was computed for copper Kα.
No peak broadening, texture or thermal motion is included.

Top 6 peaks for 2θ from 15° to 90°, low angle first:
2theta, I (rel.)
25.19, 100.0
26.32, 91.7
33.05, 96.3
49.61, 67.5
50.88, 55.1
63.85, 45.7

Structural model:
Lattice parameters (Å, degrees): 9.769 4.896 4.896 92.47 90.00 90.00
Fractional positions:
Mn (0.000, 0.000, 0.000)
Mn (0.163, 0.465, 0.465)
Mn (0.323, 0.997, 0.997)
Mn (0.500, 0.495, 0.495)
Mn (0.677, 0.997, 0.997)
Mn (0.837, 0.465, 0.465)
O (0.155, 0.173, 0.173)
O (0.845, 0.173, 0.173)
F (0.000, 0.282, 0.674)
F (0.000, 0.674, 0.282)
F (0.154, 0.782, 0.782)
F (0.330, 0.291, 0.680)
F (0.330, 0.680, 0.291)
F (0.500, 0.185, 0.185)
F (0.500, 0.806, 0.806)
F (0.670, 0.291, 0.680)
F (0.670, 0.680, 0.291)
F (0.846, 0.782, 0.782)